The following is a theoretical powder diffractogram of KGe4O8. It was derived from DFT lattice parameters and positions (PBE), using Cu Kα.
Peak positions follow from Bragg's law for the DFT cell and can differ from measured ones.

The 10 most intense peaks (5 to 70 degrees two-theta), most intense first:
d = 2.790 Å, 32.08 deg, intensity 100, (1 1 0)
d = 3.136 Å, 28.46 deg, intensity 81, (1 0 2)
d = 4.832 Å, 18.36 deg, intensity 78, (1 0 0)
d = 4.123 Å, 21.55 deg, intensity 76, (0 0 2)
d = 8.245 Å, 10.73 deg, intensity 58, (0 0 1)
d = 2.643 Å, 33.92 deg, intensity 41, (1 1 1)
d = 1.611 Å, 57.19 deg, intensity 31, (3 0 0)
d = 2.311 Å, 38.98 deg, intensity 30, (1 1 2)
d = 1.420 Å, 65.78 deg, intensity 26, (1 1 5)
d = 1.658 Å, 55.42 deg, intensity 24, (1 1 4)

Structure:
Unit cell a=5.580 b=5.580 c=8.245 alpha=90.00 beta=90.00 gamma=120.00
Sites, in units of the cell vectors:
K: 0.000 0.000 0.000
Ge: 0.333 0.667 0.219
Ge: 0.333 0.667 0.781
Ge: 0.667 0.333 0.219
Ge: 0.667 0.333 0.781
O: 0.000 0.386 0.720
O: 0.000 0.614 0.280
O: 0.333 0.667 0.000
O: 0.386 0.000 0.720
O: 0.386 0.386 0.280
O: 0.614 0.000 0.280
O: 0.614 0.614 0.720
O: 0.667 0.333 0.000